The following is a simulated powder diffractogram of Rb3ErBr6. It was derived from a structure optimized by DFT (GGA-PBE), using Cu Kα (weighted mean of Kα1 and Kα2).
Neutral-atom scattering factors, no anomalous dispersion.

Principal peaks in the range 10° ≤ 2θ ≤ 90°, sorted by position:
Position (°2θ)  I (rel.)
11.08  63
14.89  57
27.07  30
30.04  100
31.84  34
45.87  40

Lattice parameters (Å, degrees): 9.200 9.200 9.200 50.95 50.95 50.95
Fractional coordinates of all 10 atoms:
1 Rb 0.000 0.000 0.000
2 Rb 0.212 0.212 0.212
3 Rb 0.788 0.788 0.788
4 Er 0.500 0.500 0.500
5 Br 0.238 0.731 0.731
6 Br 0.269 0.269 0.762
7 Br 0.269 0.762 0.269
8 Br 0.731 0.238 0.731
9 Br 0.731 0.731 0.238
10 Br 0.762 0.269 0.269